Entry 1:
Diffraction record for Pu2PtAu3. The X-ray diffraction stick pattern is computed, not measured: it uses the PBE geometry in Alexandria and CuKα.
Intensities are scaled so that the largest is 100.

Main lines, by angle (10 to 90 degrees two-theta):
| hkl | two_theta | intensity |
| --- | --- | --- |
| 1 1 1 | 36.4 | 98 |
| 0 2 0 | 36.9 | 100 |
| 1 1 3 | 47.8 | 7 |
| 1 2 2 | 52.8 | 34 |
| 2 0 0 | 60.8 | 8 |
| 1 3 1 | 66.2 | 35 |
| 0 3 3 | 66.5 | 18 |
| 2 2 0 | 73.3 | 28 |
| 0 4 0 | 78.6 | 11 |
| 1 4 2 | 89.8 | 16 |

Structural model:
```
data_Pu2PtAu3
_chemical_formula_sum 'Pu2 Pt1 Au3'
_symmetry_space_group_name_H-M 'P m m 2'
_symmetry_Int_Tables_number 25
_symmetry_space_group_name_Hall 'P 2 -2'
_cell_length_a 3.046
_cell_length_b 4.871
_cell_length_c 8.434
_cell_angle_alpha 90.00
_cell_angle_beta 90.00
_cell_angle_gamma 90.00
loop_
_atom_site_label
_atom_site_type_symbol
_atom_site_fract_x
_atom_site_fract_y
_atom_site_fract_z
Pu1 Pu 0.000 0.000 0.000
Pu2 Pu 0.000 0.500 0.479
Pt1 Pt 0.500 0.000 0.323
Au1 Au 0.500 0.000 0.656
Au2 Au 0.500 0.500 0.154
Au3 Au 0.500 0.500 0.821
```

=====

Entry 2:
Diffraction record for ScRh2Se. The X-ray diffraction stick pattern is computed, not measured: it uses the PBE geometry in Alexandria and CuKα.
Intensities are scaled so that the largest is 100.

Main lines, by angle (10 to 90 degrees two-theta):
| hkl | two_theta | intensity |
| --- | --- | --- |
| 0 0 1 | 13.3 | 20 |
| 1 0 1 | 31.4 | 6 |
| 1 0 2 | 39.3 | 100 |
| 1 1 0 | 40.4 | 49 |
| 0 0 4 | 55.0 | 8 |
| 2 0 0 | 58.5 | 17 |
| 1 1 4 | 70.5 | 15 |
| 2 1 2 | 72.8 | 31 |
| 2 0 4 | 84.5 | 10 |
| 2 2 0 | 87.5 | 5 |

Structural model:
```
data_ScRh2Se
_chemical_formula_sum 'Sc1 Rh2 Se1'
_symmetry_space_group_name_H-M 'P 4 m m'
_symmetry_Int_Tables_number 99
_symmetry_space_group_name_Hall 'P 4 -2'
_cell_length_a 3.155
_cell_length_b 3.155
_cell_length_c 6.676
_cell_angle_alpha 90.00
_cell_angle_beta 90.00
_cell_angle_gamma 90.00
loop_
_atom_site_label
_atom_site_type_symbol
_atom_site_fract_x
_atom_site_fract_y
_atom_site_fract_z
Sc1 Sc 0.000 0.000 0.000
Rh1 Rh 0.000 0.000 0.499
Rh2 Rh 0.500 0.500 0.764
Se1 Se 0.500 0.500 0.295
```

=====

Entry 3:
Diffraction record for CaMg4Zn2. The X-ray diffraction stick pattern is computed, not measured: it uses the PBE geometry in Alexandria and CuKα.
Intensities are scaled so that the largest is 100.

Main lines, by angle (10 to 90 degrees two-theta):
| hkl | two_theta | intensity |
| --- | --- | --- |
| 1 1 0 | 17.1 | 64 |
| 2 0 0 | 24.2 | 40 |
| 2 1 1 | 31.5 | 36 |
| 2 2 0 | 34.5 | 91 |
| 1 1 2 | 36.1 | 100 |
| 3 1 0 | 38.7 | 36 |
| 3 0 1 | 40.1 | 32 |
| 2 0 2 | 40.2 | 63 |
| 3 1 2 | 50.8 | 45 |
| 3 3 2 | 62.9 | 32 |

Structural model:
```
data_CaMg4Zn2
_chemical_formula_sum 'Ca2 Mg8 Zn4'
_symmetry_space_group_name_H-M 'I 4/m m m'
_symmetry_Int_Tables_number 139
_symmetry_space_group_name_Hall '-I 4 2'
_cell_length_a 7.354
_cell_length_b 7.354
_cell_length_c 5.659
_cell_angle_alpha 90.00
_cell_angle_beta 90.00
_cell_angle_gamma 90.00
loop_
_atom_site_label
_atom_site_type_symbol
_atom_site_fract_x
_atom_site_fract_y
_atom_site_fract_z
Ca1 Ca 0.000 0.000 0.000
Mg1 Mg 0.196 0.196 0.500
Zn1 Zn 0.000 0.500 0.250
```